No. 1
Computed powder X-ray diffraction pattern
Compound: Be2In2HgI6
Radiation: copper Kα
Structure: the PBE geometry in Alexandria

Structural model:
Cell lengths 8.1448, 8.3783, 8.3960 Å; angles 62.69, 78.72, 89.30 degrees
Space group P-1 (No. 2)
Unique sites:
Be  0.0703  0.2089  0.3825 [2 per cell]
In  0.2546  0.6946  0.9877 [2 per cell]
Hg  0.5000  0.0000  0.0000 [1 per cell]
I  0.0219  0.9824  0.2811 [2 per cell]
I  0.1090  0.5506  0.7180 [2 per cell]
I  0.3603  0.3158  0.3027 [2 per cell]

Main lines, by angle (15 to 90 degrees two-theta):
| d/Å | 2θ (°) | intensity | (hkl) |
| --- | --- | --- | --- |
| 4.094 | 21.71 | 57 | 1 -1 1 |
| 3.403 | 26.19 | 100 | 1 2 2 |
| 3.382 | 26.35 | 42 | 2 1 0 |
| 3.302 | 27.00 | 40 | -2 1 1 |
| 2.841 | 31.49 | 43 | 2 -2 0 |
| 2.429 | 37.01 | 27 | 0 0 3 |

No. 2
Computed powder X-ray diffraction pattern
Compound: B7C3
Radiation: copper Kα
Structure: the PBE geometry in Alexandria

Structural model:
Cell lengths 2.7113, 2.7113, 20.3810 Å; angles 90.00, 90.00, 90.00 degrees
Space group I-4m2 (No. 119)
Unique sites:
B  0.0000  0.0000  0.0000 [2 per cell]
B  0.0000  0.0000  0.2127 [4 per cell]
B  0.0000  0.5000  0.0633 [4 per cell]
B  0.0000  0.5000  0.6408 [4 per cell]
C  0.0000  0.0000  0.3951 [4 per cell]
C  0.0000  0.5000  0.2500 [2 per cell]

Main lines, by angle (15 to 90 degrees two-theta):
| d/Å | 2θ (°) | intensity | (hkl) |
| --- | --- | --- | --- |
| 3.397 | 26.24 | 15 | 0 0 6 |
| 2.548 | 35.23 | 5 | 0 0 8 |
| 2.258 | 39.93 | 100 | 1 0 5 |
| 1.396 | 67.02 | 23 | 1 1 10 |
| 1.356 | 69.30 | 17 | 2 0 0 |
| 1.162 | 83.11 | 16 | 2 1 5 |

No. 3
Computed powder X-ray diffraction pattern
Compound: Ac4HoEr3Bi8
Radiation: copper Kα
Structure: the PBE geometry in Alexandria

Structural model:
Cell lengths 9.3437, 9.3437, 22.8072 Å; angles 90.00, 90.00, 120.00 degrees
Space group R-3m (No. 166, hexagonal axes)
Unique sites:
Ac  0.0000  0.0000  0.0000 [3 per cell]
Ac  0.0000  0.5000  0.0000 [9 per cell]
Ho  0.0000  0.0000  0.5000 [3 per cell]
Er  0.0000  0.5000  0.5000 [9 per cell]
Bi  0.0000  0.0000  0.2416 [6 per cell]
Bi  0.9996  0.4998  0.2417 [18 per cell]

Main lines, by angle (15 to 90 degrees two-theta):
| d/Å | 2θ (°) | intensity | (hkl) |
| --- | --- | --- | --- |
| 3.300 | 27.02 | 100 | 0 2 4 |
| 2.333 | 38.59 | 78 | 2 2 0 |
| 1.907 | 47.70 | 22 | 4 0 4 |
| 1.477 | 62.93 | 20 | 2 4 4 |
| 1.474 | 63.06 | 16 | 2 2 12 |
| 1.348 | 69.77 | 21 | 6 0 0 |

No. 4
Computed powder X-ray diffraction pattern
Compound: Na2Te
Radiation: copper Kα
Structure: the PBE geometry in Alexandria

Structural model:
Cell lengths 7.3333, 7.3333, 7.3333 Å; angles 90.00, 90.00, 90.00 degrees
Space group Fm-3m (No. 225)
Unique sites:
Na  0.2500  0.2500  0.2500 [8 per cell]
Te  0.0000  0.0000  0.0000 [4 per cell]

Main lines, by angle (15 to 90 degrees two-theta):
| d/Å | 2θ (°) | intensity | (hkl) |
| --- | --- | --- | --- |
| 4.234 | 20.98 | 100 | 1 1 1 |
| 3.667 | 24.27 | 19 | 2 0 0 |
| 2.593 | 34.60 | 82 | 2 2 0 |
| 2.211 | 40.81 | 53 | 3 1 1 |
| 1.682 | 54.55 | 22 | 3 3 1 |
| 1.497 | 62.00 | 28 | 4 2 2 |

No. 5
Computed powder X-ray diffraction pattern
Compound: AlNi23Pt6
Radiation: copper Kα
Structure: the PBE geometry in Alexandria

Structural model:
Cell lengths 11.3488, 11.3488, 11.3488 Å; angles 90.00, 90.00, 90.00 degrees
Space group Fm-3m (No. 225)
Unique sites:
Al  0.0000  0.0000  0.0000 [4 per cell]
Ni  0.0000  0.0000  0.5000 [4 per cell]
Ni  0.0000  0.2500  0.2500 [24 per cell]
Ni  0.1219  0.1219  0.3781 [32 per cell]
Ni  0.1658  0.1658  0.1658 [32 per cell]
Pt  0.0000  0.0000  0.2248 [24 per cell]

Main lines, by angle (15 to 90 degrees two-theta):
| d/Å | 2θ (°) | intensity | (hkl) |
| --- | --- | --- | --- |
| 3.276 | 27.22 | 25 | 2 2 2 |
| 2.837 | 31.53 | 17 | 4 0 0 |
| 2.317 | 38.88 | 19 | 4 2 2 |
| 2.184 | 41.34 | 39 | 3 3 3 |
| 2.006 | 45.20 | 100 | 4 4 0 |
| 1.158 | 83.45 | 19 | 8 4 4 |

No. 6
Computed powder X-ray diffraction pattern
Compound: Ac2Nb2N5
Radiation: copper Kα
Structure: the PBE geometry in Alexandria

Structural model:
Cell lengths 8.3547, 16.4899, 5.9553 Å; angles 90.00, 134.43, 90.00 degrees
Space group C2/m (No. 12)
Unique sites:
Ac  0.2338  0.1424  0.4686 [8 per cell]
Nb  0.1768  0.5000  0.9945 [4 per cell]
Nb  0.2500  0.2500  0.0000 [4 per cell]
N  0.0000  0.2502  0.5000 [4 per cell]
N  0.0000  0.2582  0.0000 [4 per cell]
N  0.1632  0.5000  0.3208 [4 per cell]
N  0.2264  0.1105  0.9994 [8 per cell]

Main lines, by angle (15 to 90 degrees two-theta):
| d/Å | 2θ (°) | intensity | (hkl) |
| --- | --- | --- | --- |
| 4.177 | 21.27 | 23 | 2 0 -1 |
| 2.980 | 29.99 | 100 | 2 0 -2 |
| 2.960 | 30.19 | 84 | 0 4 1 |
| 2.934 | 30.46 | 73 | 2 4 -1 |
| 2.415 | 37.23 | 28 | 2 4 0 |
| 1.722 | 53.20 | 30 | 2 4 -3 |

No. 7
Computed powder X-ray diffraction pattern
Compound: Sr2In6AgGe
Radiation: copper Kα
Structure: the PBE geometry in Alexandria

Structural model:
Cell lengths 7.3603, 7.3603, 38.1434 Å; angles 90.00, 90.00, 120.00 degrees
Space group R-3m (No. 166, hexagonal axes)
Unique sites:
Sr  0.0000  0.0000  0.1068 [6 per cell]
Sr  0.0000  0.0000  0.2822 [6 per cell]
In  0.0519  0.5259  0.3001 [18 per cell]
In  0.0615  0.5308  0.8663 [18 per cell]
Ag  0.0000  0.0000  0.0000 [3 per cell]
Ag  0.0000  0.0000  0.5000 [3 per cell]
Ge  0.0000  0.0000  0.4271 [6 per cell]

Main lines, by angle (15 to 90 degrees two-theta):
| d/Å | 2θ (°) | intensity | (hkl) |
| --- | --- | --- | --- |
| 3.180 | 28.06 | 32 | 0 0 12 |
| 2.941 | 30.40 | 82 | 2 0 5 |
| 2.751 | 32.55 | 100 | 0 2 7 |
| 2.390 | 37.63 | 52 | 1 2 2 |
| 1.899 | 47.89 | 25 | 3 0 9 |
| 1.840 | 49.54 | 43 | 2 2 0 |

No. 8
Computed powder X-ray diffraction pattern
Compound: PmMnOs
Radiation: copper Kα
Structure: the PBE geometry in Alexandria

Structural model:
Cell lengths 5.2255, 5.4727, 7.7222 Å; angles 90.00, 90.00, 90.00 degrees
Space group Imma (No. 74)
Unique sites:
Pm  0.0000  0.2500  0.1216 [4 per cell]
Mn  0.0000  0.0000  0.5000 [4 per cell]
Os  0.2500  0.2500  0.7500 [4 per cell]

Main lines, by angle (15 to 90 degrees two-theta):
| d/Å | 2θ (°) | intensity | (hkl) |
| --- | --- | --- | --- |
| 2.736 | 32.73 | 40 | 0 2 0 |
| 2.701 | 33.17 | 43 | 1 1 2 |
| 2.329 | 38.66 | 58 | 0 1 3 |
| 2.312 | 38.96 | 49 | 1 2 1 |
| 2.255 | 39.98 | 100 | 2 1 1 |
| 1.350 | 69.62 | 35 | 2 2 4 |

No. 9
Computed powder X-ray diffraction pattern
Compound: Sm2ZnCuRh2
Radiation: copper Kα
Structure: the PBE geometry in Alexandria

Structural model:
Cell lengths 5.7105, 14.3207, 5.7638 Å; angles 90.00, 90.00, 90.00 degrees
Space group Ibam (No. 72)
Unique sites:
Sm  0.2419  0.1670  0.0000 [8 per cell]
Zn  0.0000  0.5000  0.2500 [4 per cell]
Cu  0.0000  0.0000  0.2500 [4 per cell]
Rh  0.2429  0.3793  0.0000 [8 per cell]

Main lines, by angle (15 to 90 degrees two-theta):
| d/Å | 2θ (°) | intensity | (hkl) |
| --- | --- | --- | --- |
| 2.882 | 31.03 | 45 | 0 0 2 |
| 2.855 | 31.33 | 43 | 2 0 0 |
| 2.684 | 33.38 | 86 | 1 4 1 |
| 2.245 | 40.17 | 80 | 0 4 2 |
| 2.232 | 40.41 | 78 | 2 4 0 |
| 2.028 | 44.68 | 100 | 2 0 2 |

No. 10
Computed powder X-ray diffraction pattern
Compound: Fe5Pt3
Radiation: copper Kα
Structure: the PBE geometry in Alexandria

Structural model:
Cell lengths 9.2363, 5.4027, 4.6057 Å; angles 90.00, 108.47, 90.00 degrees
Space group C2/m (No. 12)
Unique sites:
Fe  0.0000  0.0000  0.0000 [2 per cell]
Fe  0.0000  0.2489  0.5000 [4 per cell]
Fe  0.2500  0.2500  0.0000 [4 per cell]
Pt  0.0000  0.5000  0.0000 [2 per cell]
Pt  0.2462  0.0000  0.4935 [4 per cell]

Main lines, by angle (15 to 90 degrees two-theta):
| d/Å | 2θ (°) | intensity | (hkl) |
| --- | --- | --- | --- |
| 3.742 | 23.78 | 28 | 2 0 -1 |
| 2.698 | 33.20 | 25 | 0 2 0 |
| 2.190 | 41.22 | 100 | 2 2 -1 |
| 2.184 | 41.34 | 33 | 0 0 2 |
| 1.908 | 47.66 | 44 | 2 2 1 |
| 1.149 | 84.28 | 24 | 4 4 0 |

No. 11
Computed powder X-ray diffraction pattern
Compound: NdYTmZn
Radiation: copper Kα
Structure: the PBE geometry in Alexandria

Structural model:
Cell lengths 3.5704, 3.5704, 8.7550 Å; angles 90.00, 90.00, 90.00 degrees
Space group P4mm (No. 99)
Unique sites:
Nd  0.0000  0.0000  0.0000 [1 per cell]
Y  0.5000  0.5000  0.6962 [1 per cell]
Tm  0.5000  0.5000  0.2950 [1 per cell]
Zn  0.0000  0.0000  0.4894 [1 per cell]

Main lines, by angle (15 to 90 degrees two-theta):
| d/Å | 2θ (°) | intensity | (hkl) |
| --- | --- | --- | --- |
| 3.306 | 26.97 | 24 | 1 0 1 |
| 2.767 | 32.36 | 100 | 1 0 2 |
| 2.525 | 35.56 | 48 | 1 1 0 |
| 1.785 | 51.17 | 17 | 2 0 0 |
| 1.572 | 58.75 | 17 | 1 0 5 |
| 1.500 | 61.85 | 31 | 2 1 2 |

No. 12
Computed powder X-ray diffraction pattern
Compound: ThCoGe2
Radiation: copper Kα
Structure: the PBE geometry in Alexandria

Structural model:
Cell lengths 4.2895, 8.7083, 16.0813 Å; angles 90.00, 90.00, 90.00 degrees
Space group Immm (No. 71)
Unique sites:
Th  0.0000  0.0000  0.2099 [4 per cell]
Th  0.0000  0.2426  0.0000 [4 per cell]
Co  0.0000  0.2487  0.3532 [8 per cell]
Ge  0.0000  0.0000  0.4193 [4 per cell]
Ge  0.0000  0.3405  0.1923 [8 per cell]
Ge  0.0000  0.5000  0.4220 [4 per cell]

Main lines, by angle (15 to 90 degrees two-theta):
| d/Å | 2θ (°) | intensity | (hkl) |
| --- | --- | --- | --- |
| 3.829 | 23.23 | 34 | 0 2 2 |
| 3.002 | 29.76 | 36 | 1 2 1 |
| 2.655 | 33.76 | 85 | 1 2 3 |
| 2.573 | 34.87 | 100 | 1 0 5 |
| 2.282 | 39.48 | 36 | 0 2 6 |
| 2.145 | 42.13 | 44 | 2 0 0 |

No. 13
Computed powder X-ray diffraction pattern
Compound: Sm2TmHfN4
Radiation: copper Kα
Structure: the PBE geometry in Alexandria

Structural model:
Cell lengths 5.9202, 3.4129, 5.9810 Å; angles 90.00, 109.07, 90.00 degrees
Space group P2/m (No. 10)
Unique sites:
Sm  0.0000  0.0000  0.0000 [1 per cell]
Sm  0.5000  0.5000  0.0000 [1 per cell]
Tm  0.0000  0.5000  0.5000 [1 per cell]
Hf  0.5000  0.0000  0.5000 [1 per cell]
N  0.2548  0.0000  0.7274 [2 per cell]
N  0.2692  0.5000  0.2779 [2 per cell]

Main lines, by angle (15 to 90 degrees two-theta):
| d/Å | 2θ (°) | intensity | (hkl) |
| --- | --- | --- | --- |
| 2.826 | 31.66 | 35 | 0 0 2 |
| 2.793 | 32.05 | 100 | 2 0 0 |
| 2.426 | 37.06 | 95 | 1 1 1 |
| 1.721 | 53.21 | 22 | 1 1 -3 |
| 1.708 | 53.67 | 32 | 0 2 0 |
| 1.460 | 63.72 | 20 | 3 1 -3 |